This entry pairs a crystal structure of DySi2OsRh with its calculated PXRD pattern. Radiation: Cu Kα, 1.54184 Å. Structure: the PBE geometry in Alexandria.
Intensities are scaled so that the largest is 100.

The 10 most intense peaks (2θ = 10–90°), in order of falling intensity:
- 2θ = 35.8°, I 100
- 2θ = 43.8°, I 36
- 2θ = 23.4°, I 29
- 2θ = 35.1°, I 24
- 2θ = 75.2°, I 23
- 2θ = 58.5°, I 19
- 2θ = 36.9°, I 18
- 2θ = 65.7°, I 17
- 2θ = 57.3°, I 12
- 2θ = 63.7°, I 12

Crystal structure
```
5
Lattice="-2.0673 2.0673 4.8780 2.0673 -2.0673 4.8780 2.0673 2.0673 -4.8780" Properties=species:S:1:pos:R:3 pbc="T T T"
Dy 0.0000 0.0000 0.0000
Si 0.0000 0.0000 3.6458
Si 0.0000 0.0000 6.1101
Os 0.0000 2.0673 2.4390
Rh 2.0673 0.0000 2.4390
```

---

This entry pairs a crystal structure of Zr5Sc7 with its calculated PXRD pattern. Radiation: Cu Kα, 1.54184 Å. Structure: the PBE geometry in Alexandria.
Intensities are scaled so that the largest is 100.

The 10 most intense peaks (2θ = 10–90°), in order of falling intensity:
- 2θ = 34.1°, I 100
- 2θ = 39.4°, I 33
- 2θ = 57.2°, I 21
- 2θ = 39.8°, I 16
- 2θ = 68.6°, I 12
- 2θ = 68.0°, I 12
- 2θ = 68.1°, I 12
- 2θ = 13.3°, I 6
- 2θ = 56.8°, I 5
- 2θ = 57.0°, I 5

Crystal structure
```
12
Lattice="6.8622 -2.2649 0.0000 6.8622 2.2649 0.0000 -4.6071 0.0000 9.1509" Properties=species:S:1:pos:R:3 pbc="T T T"
Zr 0.0000 0.0000 0.0000
Zr -2.3931 0.0000 6.9288
Zr 0.0393 0.0000 4.6543
Zr 2.2655 0.0000 6.9369
Zr 9.0908 0.0000 4.6905
Sc 2.2309 0.0000 2.3996
Sc 4.6043 0.0000 0.0323
Sc 4.5338 0.0000 4.6876
Sc 6.8637 0.0000 2.3778
Sc 9.0895 0.0000 0.0217
Sc 6.8451 0.0000 6.9201
Sc 11.4474 0.0000 2.3988
```

---

This entry pairs a crystal structure of CdTcSe2N with its calculated PXRD pattern. Radiation: Cu Kα, 1.54184 Å. Structure: the PBE geometry in Alexandria.
Intensities are scaled so that the largest is 100.

The 10 most intense peaks (2θ = 10–90°), in order of falling intensity:
- 2θ = 34.9°, I 100
- 2θ = 29.7°, I 84
- 2θ = 46.5°, I 48
- 2θ = 34.5°, I 48
- 2θ = 61.6°, I 36
- 2θ = 50.3°, I 34
- 2θ = 72.8°, I 22
- 2θ = 49.0°, I 19
- 2θ = 62.4°, I 16
- 2θ = 23.9°, I 15

Crystal structure
```
5
Lattice="5.1351 0.0000 0.0000 0.0000 5.1351 0.0000 0.0000 0.0000 3.7168" Properties=species:S:1:pos:R:3 pbc="T T T"
Cd 0.0000 0.0000 0.0000
Tc 2.5676 2.5676 1.8584
Se 0.0000 2.5676 1.8584
Se 2.5676 0.0000 1.8584
N 2.5676 2.5676 0.0000
```

---

This entry pairs a crystal structure of Li4Hg2Au with its calculated PXRD pattern. Radiation: Cu Kα, 1.54184 Å. Structure: the PBE geometry in Alexandria.
Intensities are scaled so that the largest is 100.

The 10 most intense peaks (2θ = 10–90°), in order of falling intensity:
- 2θ = 27.2°, I 100
- 2θ = 27.4°, I 44
- 2θ = 35.3°, I 36
- 2θ = 42.2°, I 23
- 2θ = 35.7°, I 19
- 2θ = 31.7°, I 14
- 2θ = 58.6°, I 14
- 2θ = 53.7°, I 14
- 2θ = 50.8°, I 14
- 2θ = 72.6°, I 13

Crystal structure
```
14
Lattice="-4.0166 4.0166 3.9758 4.0166 -4.0166 3.9758 4.0166 4.0166 -3.9758" Properties=species:S:1:pos:R:3 pbc="T T T"
Li 3.4208 2.5770 -1.7140
Li 5.4561 0.5957 0.2739
Li 0.5957 2.5770 -0.2739
Li 0.5957 1.4396 2.2618
Li 1.4396 -0.5957 5.6898
Li 3.4208 1.4396 3.7019
Li 2.5770 4.6123 1.7140
Li -1.4396 3.4208 4.2497
Hg 2.0083 -0.9220 2.9818
Hg 3.0946 2.0083 0.9939
Hg 2.0083 4.9386 -0.9939
Hg 0.9220 2.0083 4.9697
Au 0.0000 0.0000 0.0000
Au 0.0000 4.0166 1.9879
```

---

This entry pairs a crystal structure of Sr2Tl6CdIn with its calculated PXRD pattern. Radiation: Cu Kα, 1.54184 Å. Structure: the PBE geometry in Alexandria.
Intensities are scaled so that the largest is 100.

The 10 most intense peaks (2θ = 10–90°), in order of falling intensity:
- 2θ = 30.9°, I 100
- 2θ = 28.7°, I 76
- 2θ = 35.2°, I 52
- 2θ = 17.3°, I 42
- 2θ = 46.3°, I 39
- 2θ = 27.6°, I 29
- 2θ = 45.2°, I 27
- 2θ = 26.6°, I 23
- 2θ = 42.1°, I 20
- 2θ = 78.4°, I 19

Crystal structure
```
20
Lattice="3.9239 2.2654 12.9363 -3.9239 2.2654 12.9363 0.0000 -4.5309 12.9363" Properties=species:S:1:pos:R:3 pbc="T T T"
Sr 0.0000 0.0000 4.1901
Sr 0.0000 0.0000 11.0320
Sr 0.0000 0.0000 27.7770
Sr 0.0000 0.0000 34.6189
Tl -2.3324 -1.3466 18.0811
Tl 0.0000 -1.9485 14.2500
Tl -1.6874 0.9742 14.2500
Tl 0.0000 -2.6932 20.7279
Tl -2.3324 1.3466 20.7279
Tl -1.6874 -0.9742 24.5590
Tl 1.6874 0.9742 14.2500
Tl 2.3324 -1.3466 18.0811
Tl 0.0000 2.6932 18.0811
Tl 1.6874 -0.9742 24.5590
Tl 0.0000 1.9485 24.5590
Tl 2.3324 1.3466 20.7279
Cd 0.0000 0.0000 0.0000
Cd 0.0000 0.0000 19.4045
In 0.0000 0.0000 16.5407
In 0.0000 0.0000 22.2683
```